Record 1
Starting from a cell relaxed with PBE, the PXRD pattern of LaSmInAu was calculated for Cu Kα (λ = 1.5418 Å).

Principal peaks in the range 2θ from 10° to 80°, in order of rising 2θ:
(hkl)  2θ (°)  intensity
1 1 1  20.08  4
2 2 0  33.07  100
3 1 1  39.00  2
4 0 0  47.47  18
3 3 1  52.04  1
4 2 2  59.08  38
4 4 0  69.40  12
6 2 0  79.06  16

Crystal structure
a b c (Å): 7.6605 7.6605 7.6605
angles (deg): 90.00 90.00 90.00
Space group F-43m (No. 216)
Asymmetric unit:
La 0.0000 0.0000 0.0000 [4 per cell]
Sm 0.0000 0.0000 0.5000 [4 per cell]
In 0.2500 0.2500 0.2500 [4 per cell]
Au 0.2500 0.2500 0.7500 [4 per cell]

Record 2
Starting from a cell relaxed with PBE, the PXRD pattern of Y3Tm7Sc was calculated for Cu Kα (λ = 1.5418 Å).

Principal peaks in the range 2θ from 10° to 80°, in order of rising 2θ:
(hkl)  2θ (°)  intensity
0 0 1  10.42  20
2 0 1  31.68  100
0 2 2  36.74  52
2 0 4  52.89  17
2 2 0  52.99  17
2 2 3  63.00  31
0 4 1  63.08  11
4 0 2  66.21  9

Crystal structure
a b c (Å): 6.9125 6.9125 8.4889
angles (deg): 90.00 90.00 120.00
Space group P3m1 (No. 156)
Asymmetric unit:
Y 0.0015 0.5008 0.0000 [3 per cell]
Tm 0.1684 0.3368 0.6586 [3 per cell]
Tm 0.3357 0.1679 0.3345 [3 per cell]
Tm 0.6667 0.3333 0.6602 [1 per cell]
Sc 0.3333 0.6667 0.3362 [1 per cell]

Record 3
Starting from a cell relaxed with PBE, the PXRD pattern of NdBS3 was calculated for Cu Kα (λ = 1.5418 Å).

Principal peaks in the range 2θ from 10° to 80°, in order of rising 2θ:
(hkl)  2θ (°)  intensity
1 1 0  18.79  69
0 0 2  19.83  66
1 1 1  21.27  89
2 0 1  25.32  100
1 2 1  33.59  81
1 1 3  35.57  64
1 2 2  37.95  53
2 0 3  38.24  54

Crystal structure
a b c (Å): 7.6501 6.0045 8.9565
angles (deg): 90.00 90.00 90.00
Space group Pna2_1 (No. 33)
Asymmetric unit:
Nd 0.1155 0.0707 0.0000 [4 per cell]
B 0.1464 0.5972 0.8288 [4 per cell]
S 0.0013 0.5975 0.9878 [4 per cell]
S 0.1722 0.8359 0.7047 [4 per cell]
S 0.2025 0.8662 0.2987 [4 per cell]